[1]
Theoretical powder XRD pattern of Mn2O2F9 for CuKα, from the PBE+U geometry in the Materials Project.
Kinematic intensities with the Lorentz-polarization factor, no thermal factor.

Structure:
```
Mn2O2F9
1.0
8.8656 -4.3655 0.0000
8.8656 4.3655 0.0000
-1.6590 0.0000 9.1709
Mn O F
8 8 36
Direct
0.0105 0.7412 0.5616
0.1693 0.6777 0.9436
0.2588 0.9895 0.9384
0.3223 0.8307 0.5564
0.6777 0.1693 0.4436
0.7412 0.0105 0.0616
0.8307 0.3223 0.0564
0.9895 0.2588 0.4384
0.1871 0.4318 0.1809
0.2680 0.3543 0.2828
0.3543 0.2680 0.7828
0.4318 0.1871 0.6809
0.5682 0.8129 0.3191
0.6457 0.7320 0.2172
0.7320 0.6457 0.7172
0.8129 0.5682 0.8191
0.0126 0.1230 0.9517
0.0314 0.2872 0.6278
0.0583 0.7917 0.7681
0.0632 0.5802 0.9105
0.1230 0.0126 0.4517
0.1457 0.5195 0.5836
0.1779 0.2271 0.3964
0.2083 0.9417 0.7319
0.2108 0.7214 0.5223
0.2271 0.1779 0.8964
0.2693 0.5829 0.1153
0.2786 0.7892 0.9777
0.2872 0.0314 0.1278
0.3513 0.5005 0.8489
0.4171 0.7307 0.3847
0.4198 0.9368 0.5895
0.4805 0.8543 0.9164
0.4995 0.6487 0.6511
0.5005 0.3513 0.3489
0.5195 0.1457 0.0836
0.5802 0.0632 0.4105
0.5829 0.2693 0.6153
0.6487 0.4995 0.1511
0.7128 0.9686 0.8722
0.7214 0.2108 0.0223
0.7307 0.4171 0.8847
0.7729 0.8221 0.1036
0.7892 0.2786 0.4777
0.7917 0.0583 0.2681
0.8221 0.7729 0.6036
0.8543 0.4805 0.4164
0.8770 0.9874 0.5483
0.9368 0.4198 0.0895
0.9417 0.2083 0.2319
0.9686 0.7128 0.3722
0.9874 0.8770 0.0483
```

Most intense lines, 5° ≤ 2θ ≤ 70°, by intensity:
2theta	I/Imax
20.35	100
19.37	83
27.64	76
11.33	50
14.30	49
28.22	40
25.50	36
15.48	35
24.05	35
23.27	31

[2]
Theoretical powder XRD pattern of MgTe3WO12 for CuKα, from the PBE+U geometry in the Materials Project.
Kinematic intensities with the Lorentz-polarization factor, no thermal factor.

Structure:
```
MgTe3WO12
1.0
5.3021 0.0000 0.0000
0.0220 5.4846 0.0000
0.0399 0.5324 7.6502
Mg Te W O
1 3 1 12
Direct
0.0000 0.0000 0.0000
0.0077 0.4154 0.2198
0.4981 0.9124 0.7179
0.5001 0.9045 0.2362
0.0037 0.4212 0.7054
0.0956 0.3773 0.9516
0.1713 0.0903 0.2474
0.2092 0.6972 0.6589
0.2797 0.1974 0.6581
0.3167 0.5681 0.2730
0.3630 0.8940 0.9482
0.6114 0.9205 0.4817
0.7134 0.6153 0.7629
0.7292 0.2133 0.1516
0.7930 0.1031 0.7799
0.8478 0.7145 0.1426
0.8932 0.4149 0.4649
```

Most intense lines, 5° ≤ 2θ ≤ 70°, by intensity:
2theta	I/Imax
23.29	100
23.41	50
34.02	28
32.27	19
32.46	19
32.74	18
33.81	14
47.87	9
47.68	9
47.54	9

[3]
Theoretical powder XRD pattern of FeOF for CuKα, from the PBE+U geometry in the Materials Project.
Kinematic intensities with the Lorentz-polarization factor, no thermal factor.

Structure:
```
FeOF
1.0
4.7581 0.0000 0.0000
0.0000 3.0896 0.0000
-0.0552 0.0000 14.1704
Fe O F
6 6 6
Direct
0.0000 0.0000 0.0000
0.0074 0.0000 0.3322
0.4977 0.5000 0.5190
0.5124 0.5000 0.1448
0.5634 0.5000 0.8289
0.9929 0.0000 0.6604
0.1992 0.5000 0.0598
0.3093 0.0000 0.5669
0.7093 0.0000 0.1024
0.7195 0.0000 0.7654
0.8241 0.5000 0.5979
0.8257 0.5000 0.9343
0.2153 0.5000 0.7336
0.2217 0.5000 0.3977
0.3136 0.0000 0.2320
0.3263 0.0000 0.8932
0.6998 0.0000 0.4314
0.7983 0.5000 0.2665
```

Most intense lines, 5° ≤ 2θ ≤ 70°, by intensity:
2theta	I/Imax
34.65	100
26.64	90
26.54	89
52.33	51
39.68	31
66.66	27
52.19	27
52.48	25
66.24	19
59.87	18

[4]
Theoretical powder XRD pattern of Ba4Sr2La2Co4O15 for CuKα, from the PBE+U geometry in the Materials Project.
Kinematic intensities with the Lorentz-polarization factor, no thermal factor.

Structure:
```
Ba4Sr2La2Co4O15
1.0
5.9275 -10.2885 0.0000
5.9275 10.2885 0.0000
-0.0620 0.0000 6.9957
Ba Sr La Co O
8 4 4 8 30
Direct
0.0716 0.4046 0.3205
0.0862 0.9138 0.5000
0.3945 0.5678 0.0041
0.4046 0.0716 0.8205
0.5648 0.9134 0.5032
0.5678 0.3945 0.5041
0.9134 0.5648 0.0032
0.9138 0.0862 0.0000
0.2657 0.7891 0.1629
0.7391 0.7395 0.3198
0.7395 0.7391 0.8198
0.7891 0.2657 0.6629
0.2165 0.2636 0.6663
0.2173 0.6928 0.6630
0.2636 0.2165 0.1663
0.6928 0.2173 0.1630
0.0714 0.4059 0.8640
0.0899 0.9115 0.9957
0.3920 0.5673 0.4963
0.4059 0.0714 0.3640
0.5662 0.9155 0.9950
0.5673 0.3920 0.9963
0.9115 0.0899 0.4957
0.9155 0.5662 0.4950
0.0654 0.6704 0.3626
0.0693 0.1334 0.3626
0.1320 0.8057 0.8553
0.1334 0.0693 0.8626
0.1531 0.5655 0.9909
0.1545 0.3209 0.0011
0.2374 0.9926 0.1700
0.2468 0.4915 0.6710
0.3209 0.1545 0.5011
0.3217 0.9071 0.5049
0.3441 0.6708 0.3665
0.3446 0.4077 0.3644
0.4077 0.3446 0.8644
0.4105 0.8025 0.8524
0.4915 0.2468 0.1710
0.4963 0.9891 0.1704
0.5595 0.6450 0.5794
0.5655 0.1531 0.4909
0.6424 0.8243 0.0813
0.6450 0.5595 0.0794
0.6704 0.0654 0.8626
0.6708 0.3441 0.8665
0.8025 0.4105 0.3524
0.8057 0.1320 0.3553
0.8243 0.6424 0.5813
0.8338 0.9224 0.5806
0.9071 0.3217 0.0049
0.9224 0.8338 0.0806
0.9891 0.4963 0.6704
0.9926 0.2374 0.6700
```

Most intense lines, 5° ≤ 2θ ≤ 70°, by intensity:
2theta	I/Imax
30.12	100
30.86	32
53.50	15
31.04	15
29.73	14
29.57	12
26.20	12
36.58	11
8.61	11
36.70	10

[5]
Theoretical powder XRD pattern of Mn3P4O16 for CuKα, from the PBE+U geometry in the Materials Project.
Kinematic intensities with the Lorentz-polarization factor, no thermal factor.

Structure:
```
Mn3P4O16
1.0
6.3222 0.0000 0.0000
-3.1484 9.4995 0.0000
-0.0009 -0.3568 10.8841
Mn P O
6 8 32
Direct
0.0000 0.0000 0.0000
0.1348 0.8075 0.2488
0.1727 0.8076 0.7493
0.5000 0.0000 0.5000
0.8273 0.1924 0.2507
0.8652 0.1925 0.7512
0.0777 0.3278 0.0095
0.2500 0.6722 0.4908
0.2801 0.0977 0.2549
0.3175 0.0977 0.7548
0.6825 0.9023 0.2452
0.7199 0.9023 0.7451
0.7500 0.3278 0.5092
0.9223 0.6722 0.9905
0.0345 0.6661 0.1177
0.0876 0.6859 0.3863
0.0987 0.6860 0.8861
0.1317 0.1898 0.2783
0.1319 0.6663 0.6178
0.1582 0.1961 0.0081
0.1729 0.1902 0.7303
0.1927 0.9809 0.1458
0.2312 0.9870 0.8596
0.2561 0.9872 0.3598
0.2673 0.4646 0.0329
0.2882 0.9811 0.6456
0.3027 0.5357 0.4669
0.4419 0.8101 0.2219
0.4627 0.8040 0.4920
0.4829 0.8098 0.7697
0.5171 0.1902 0.2303
0.5373 0.1960 0.5080
0.5581 0.1899 0.7781
0.6973 0.4643 0.5331
0.7118 0.0189 0.3544
0.7327 0.5354 0.9671
0.7439 0.0128 0.6402
0.7688 0.0130 0.1404
0.8073 0.0191 0.8542
0.8271 0.8098 0.2697
0.8418 0.8039 0.9919
0.8681 0.3337 0.3822
0.8683 0.8102 0.7217
0.9013 0.3140 0.1139
0.9124 0.3141 0.6137
0.9655 0.3339 0.8823
```

Most intense lines, 5° ≤ 2θ ≤ 70°, by intensity:
2theta	I/Imax
9.31	100
14.77	31
16.80	29
16.95	29
32.76	26
19.06	15
32.92	14
18.52	13
28.62	12
27.40	11

[6]
Theoretical powder XRD pattern of Li5Fe8B8O24 for CuKα, from the PBE+U geometry in the Materials Project.
Kinematic intensities with the Lorentz-polarization factor, no thermal factor.

Structure:
```
Li5Fe8B8O24
1.0
5.2531 0.0000 0.0000
0.0472 9.0577 0.0000
2.5204 4.4516 10.1803
Li Fe B O
5 8 8 24
Direct
0.0000 0.0000 0.0000
0.0296 0.0329 0.2575
0.2613 0.2334 0.5185
0.5239 0.5290 0.2592
0.7991 0.7632 0.7661
0.0281 0.3462 0.9764
0.0436 0.7116 0.2277
0.2778 0.9138 0.4805
0.3246 0.6127 0.7318
0.5176 0.8247 0.9825
0.5437 0.2189 0.2208
0.7711 0.4266 0.4862
0.7975 0.1179 0.7361
0.0247 0.6738 0.9748
0.0484 0.3778 0.2310
0.2693 0.5856 0.4746
0.3096 0.9590 0.7198
0.5252 0.1671 0.9803
0.5586 0.8763 0.2294
0.7773 0.0944 0.4738
0.8214 0.4638 0.7295
0.0353 0.5997 0.4353
0.0388 0.4283 0.7845
0.1269 0.7798 0.0187
0.1752 0.5574 0.9484
0.1818 0.0918 0.7143
0.2030 0.8471 0.6792
0.2594 0.1740 0.9868
0.3022 0.3784 0.2409
0.3509 0.6930 0.5189
0.3965 0.9752 0.2776
0.4187 0.4615 0.4657
0.4488 0.7607 0.1991
0.5259 0.0986 0.4504
0.5429 0.9297 0.7596
0.6569 0.2652 0.0205
0.6655 0.0573 0.9416
0.6959 0.5957 0.7247
0.7426 0.3600 0.6769
0.7806 0.6854 0.9537
0.8265 0.8993 0.2094
0.8650 0.2078 0.5140
0.8796 0.4790 0.2713
0.9429 0.9855 0.4527
0.9486 0.2730 0.1848
```

Most intense lines, 5° ≤ 2θ ≤ 70°, by intensity:
2theta	I/Imax
35.26	100
19.56	85
21.45	73
21.53	65
34.16	65
40.74	40
26.24	35
34.34	33
26.06	30
40.48	29